# Li2FeF4
Theoretical powder XRD pattern, copper Kα. Input: a DFT-relaxed cell (GGA+U, Alexandria).

```
data_Li2FeF4
_space_group_name_H-M_alt 'P 1 21/c 1'
_space_group_IT_number 14
_space_group_name_Hall '-P 2ybc'
_cell_length_a 6.0211
_cell_length_b 5.5746
_cell_length_c 5.6998
_cell_angle_alpha 90.00
_cell_angle_beta 117.73
_cell_angle_gamma 90.00
loop_
_atom_site_label
_atom_site_type_symbol
_atom_site_fract_x
_atom_site_fract_y
_atom_site_fract_z
_atom_site_occupancy
Li1 Li 0.0473 0.2274 0.0708 1
Fe1 Fe 0.5000 0.0000 0.5000 1
F1 F 0.1000 0.5751 0.7716 1
F2 F 0.3972 0.2225 0.7113 1
```

The 12 most intense peaks (15 to 90 degrees two-theta), sorted by position:
2θ/deg  intensity  (hkl)
16.6  489  1 0 0
23.8  744  0 1 1
23.9  1000  1 1 -1
33.6  414  2 0 0
36.8  116  0 2 1
37.4  123  2 1 0
45.5  441  1 2 -2
48.3  228  2 1 1
48.6  178  3 1 -1
51.6  143  2 1 -3
52.5  142  1 3 -1
57.6  126  1 2 2